This entry pairs a crystal structure of EuMgGa with its calculated XRD peak list. Radiation: λ = 1.5418 Å (Cu Kα). Structure: a cell relaxed with GGA-PBE.
Neutral-atom scattering factors, no anomalous dispersion.

Largest 12 diffraction maxima, in order of rising 2θ, 2θ = 10–90°:
| 2θ/deg | d_spacing | I_rel | (hkl) |
| --- | --- | --- | --- |
| 21.18 | 4.194 | 31.3 | 0 1 1 |
| 24.06 | 3.699 | 10.3 | 1 1 1 |
| 31.19 | 2.868 | 100.0 | 2 1 1 |
| 32.15 | 2.784 | 30.8 | 2 0 2 |
| 35.98 | 2.496 | 9.9 | 1 0 3 |
| 36.15 | 2.485 | 11.1 | 3 0 1 |
| 36.30 | 2.475 | 25.3 | 0 2 0 |
| 38.74 | 2.324 | 27.6 | 0 1 3 |
| 49.26 | 1.850 | 18.5 | 2 2 2 |
| 52.03 | 1.758 | 10.9 | 4 0 2 |
| 61.76 | 1.502 | 13.4 | 3 1 4 |
| 62.14 | 1.494 | 13.7 | 2 3 1 |

Crystal structure
a b c (Å): 7.852 4.950 7.898
angles (deg): 90.00 90.00 90.00
Space group Pnma (No. 62)
One atom of each set of equivalent atoms:
Eu 0.020 0.250 0.209 x4
Mg 0.191 0.250 0.605 x4
Ga 0.185 0.750 0.433 x4